# 1
Starting from a GGA+U-relaxed structure, the PXRD pattern of K3FeRh3O8 was simulated for copper Kα.

Most intense lines, 10° ≤ 2θ ≤ 90°, in order of falling intensity:
| d [Å] | I (rel.) | index |
| --- | --- | --- |
| 6.040 | 100 | 0 0 3 |
| 2.330 | 91 | 0 2 4 |
| 2.602 | 49 | 2 0 2 |
| 3.020 | 32 | 0 0 6 |
| 1.740 | 27 | 2 0 8 |
| 1.568 | 26 | 2 2 0 |
| 2.687 | 21 | 0 2 1 |
| 1.874 | 18 | 0 2 7 |
| 1.392 | 18 | 2 2 6 |
| 1.507 | 16 | 0 2 10 |

Structural model:
```
data_K3FeRh3O8
_chemical_formula_sum 'K9 Fe3 Rh9 O24'
_space_group_name_H-M_alt 'R -3 m'
_space_group_IT_number 166
_space_group_name_Hall '-R 3 2"'
_cell_length_a 6.2737
_cell_length_b 6.2737
_cell_length_c 18.1206
_cell_angle_alpha 90.00
_cell_angle_beta 90.00
_cell_angle_gamma 120.00
loop_
_atom_site_label
_atom_site_type_symbol
_atom_site_fract_x
_atom_site_fract_y
_atom_site_fract_z
K1 K 0.0000 0.5000 0.0000
Fe1 Fe 0.0000 0.0000 0.5000
Rh1 Rh 0.0000 0.5000 0.5000
O1 O 0.0000 0.0000 0.2229
O2 O 0.0009 0.5005 0.7769
```

# 2
Starting from a GGA+U-relaxed structure, the PXRD pattern of V2Zn3O11 was simulated for copper Kα.

Most intense lines, 10° ≤ 2θ ≤ 90°, in order of falling intensity:
| d [Å] | I (rel.) | index |
| --- | --- | --- |
| 7.104 | 100 | 0 0 1 |
| 2.453 | 30 | 2 0 1 |
| 2.938 | 27 | 0 1 2 |
| 2.613 | 25 | 2 0 0 |
| 4.210 | 18 | 1 0 1 |
| 1.469 | 17 | 0 2 4 |
| 2.300 | 15 | 1 1 2 |
| 1.509 | 14 | 2 2 0 |
| 2.105 | 14 | 2 0 2 |
| 1.755 | 14 | 2 0 3 |

Structural model:
```
data_V2Zn3O11
_chemical_formula_sum 'V2 Zn3 O11'
_space_group_name_H-M_alt 'P -3 m 1'
_space_group_IT_number 164
_space_group_name_Hall '-P 3 2"'
_cell_length_a 6.0351
_cell_length_b 6.0351
_cell_length_c 7.1039
_cell_angle_alpha 90.00
_cell_angle_beta 90.00
_cell_angle_gamma 120.00
loop_
_atom_site_label
_atom_site_type_symbol
_atom_site_fract_x
_atom_site_fract_y
_atom_site_fract_z
V1 V 0.0000 0.0000 0.2484
Zn1 Zn 0.0000 0.5000 0.0000
O1 O 0.0000 0.0000 0.5000
O2 O 0.1568 0.3136 0.8369
O3 O 0.3333 0.6667 0.1540
O4 O 0.3333 0.6667 0.3447
```